Entry 1:
Structure and computed X-ray diffraction stick pattern of HoTm (the GGA-PBE geometry in OQMD; Cu Ka).
Kinematic intensities with the Lorentz-polarization factor, no thermal factor.

Structural model:
a b c (Å): 5.5327 12.3549 7.1334
angles (deg): 90.00 90.00 90.00
Space group Ama2 (No. 40)
Asymmetric unit:
Ho  0.2500  0.0833  0.0000 [4 per cell]
Ho  0.2500  0.3331  0.7501 [4 per cell]
Tm  0.2500  0.0835  0.5009 [4 per cell]
Tm  0.2500  0.3335  0.2507 [4 per cell]

Most intense lines, 2θ = 5–70°, in order of rising 2θ:
2θ (°)	Rel. int.	index
28.91	24	0 4 0
32.36	24	2 0 0
33.22	100	1 4 0
43.94	15	2 4 0
51.23	20	0 6 2
58.27	20	3 4 0
61.91	22	2 6 2
62.43	16	1 8 0

=====

Entry 2:
Structure and computed X-ray diffraction stick pattern of Co6BiPd (the GGA-PBE geometry in OQMD; Cu Ka).
Kinematic intensities with the Lorentz-polarization factor, no thermal factor.

Structural model:
a b c (Å): 6.4063 6.4063 9.0499
angles (deg): 90.00 90.00 120.00
Space group R-3 (No. 148, hexagonal axes)
Asymmetric unit:
Co  0.0055  0.7754  0.2544 [18 per cell]
Bi  0.0000  0.0000  0.0000 [3 per cell]
Pd  0.0000  0.0000  0.5000 [3 per cell]

Most intense lines, 2θ = 5–70°, in order of rising 2θ:
2θ (°)	Rel. int.	index
25.40	29	0 1 2
27.85	53	1 1 0
38.05	82	2 0 2
41.10	37	2 -1 3
43.18	69	1 0 4
44.34	46	2 1 1
47.81	100	3 -2 2
68.80	25	2 -1 6

=====

Question: Number 1 is which compound?
Answer: HoTm